(1)
# LiFeC2O6
Theoretical XRD peak list, Cu Kα (weighted mean of Kα1 and Kα2). Input: a structure optimized by DFT (GGA+U).
Lines closer than 0.1° are merged.

```
data_LiFeC2O6
_chemical_formula_sum 'Li4 Fe4 C8 O24'
_cell_length_a 7.7762
_cell_length_b 9.7981
_cell_length_c 9.1732
_cell_angle_alpha 90.00
_cell_angle_beta 125.36
_cell_angle_gamma 90.00
_symmetry_space_group_name_H-M 'P 1 21/c 1'
_symmetry_Int_Tables_number 14
loop_
_symmetry_equiv_pos_as_xyz
'x,y,z'
'-x,-y,-z'
'-x,y+1/2,-z+1/2'
'x,-y+1/2,z+1/2'
loop_
_atom_site_label
_atom_site_type_symbol
_atom_site_fract_x
_atom_site_fract_y
_atom_site_fract_z
_atom_site_occupancy
Li1 Li 0.1595 0.1129 0.1642 1
Fe1 Fe 0.0601 0.1262 0.4602 1
C1 C 0.0328 0.1181 0.7775 1
C2 C 0.4014 0.0004 0.6593 1
O1 O 0.0140 0.0103 0.2506 1
O2 O 0.0277 0.1764 0.9031 1
O3 O 0.0814 0.1900 0.6884 1
O4 O 0.2188 0.5536 0.1190 1
O5 O 0.3704 0.1188 0.5812 1
O6 O 0.4280 0.0580 0.2406 1
```

Top 10 peaks for 2θ from 5° to 70°, by angle:
2θ 13.96, I = 100; 2θ 14.90, I = 89; 2θ 15.02, I = 23; 2θ 16.65, I = 25; 2θ 19.35, I = 21; 2θ 21.39, I = 16; 2θ 28.14, I = 20; 2θ 31.36, I = 10; 2θ 35.24, I = 18; 2θ 43.81, I = 10

---

(2)
# LiFe2C4O12
Theoretical XRD peak list, Cu Kα (weighted mean of Kα1 and Kα2). Input: a structure optimized by DFT (GGA+U).
Lines closer than 0.1° are merged.

```
data_LiFe2C4O12
_chemical_formula_sum 'Li1 Fe2 C4 O12'
_cell_length_a 5.4434
_cell_length_b 6.8925
_cell_length_c 7.9244
_cell_angle_alpha 84.94
_cell_angle_beta 77.09
_cell_angle_gamma 67.07
_symmetry_space_group_name_H-M 'P 1'
_symmetry_Int_Tables_number 1
loop_
_symmetry_equiv_pos_as_xyz
'x,y,z'
loop_
_atom_site_label
_atom_site_type_symbol
_atom_site_fract_x
_atom_site_fract_y
_atom_site_fract_z
_atom_site_occupancy
Li1 Li 0.0000 0.0000 0.0000 1
Fe1 Fe 0.6193 0.9796 0.6753 1
Fe2 Fe 0.8868 0.4395 0.1783 1
C1 C 0.1962 0.3262 0.8938 1
C2 C 0.6037 0.8148 0.9685 1
C3 C 0.7882 0.5888 0.4652 1
C4 C 0.8138 0.0848 0.3942 1
O1 O 0.0103 0.5615 0.3480 1
O2 O 0.2380 0.4148 0.0182 1
O3 O 0.3730 0.2682 0.7537 1
O4 O 0.3923 0.8794 0.8979 1
O5 O 0.5892 0.0533 0.4209 1
O6 O 0.6183 0.6992 0.1032 1
O7 O 0.6256 0.5170 0.4211 1
O8 O 0.7417 0.6772 0.6092 1
O9 O 0.7994 0.8781 0.8907 1
O10 O 0.9175 0.1406 0.2424 1
O11 O 0.9292 0.0545 0.5259 1
O12 O 0.9646 0.3028 0.9277 1
```

Top 10 peaks for 2θ from 5° to 70°, by angle:
2θ 18.11, I = 100; 2θ 19.36, I = 67; 2θ 26.87, I = 6; 2θ 27.03, I = 6; 2θ 28.11, I = 6; 2θ 30.45, I = 20; 2θ 33.11, I = 5; 2θ 35.91, I = 6; 2θ 44.39, I = 6; 2θ 45.57, I = 7